Diffraction record for DyY7O12. The powder XRD pattern is computed, not measured: it uses the PBE geometry in Alexandria and Cu Kα, 1.54184 Å.

Largest 10 diffraction maxima, sorted by position, 10 to 90 degrees two-theta:
h k l  2theta  I/Imax
1 1 2  20.33  141
2 2 2  28.91  1000
4 0 0  33.51  272
1 1 4  35.60  66
3 1 4  43.11  101
4 4 0  48.11  421
1 1 6  52.74  63
6 2 2  57.11  296
3 1 6  58.51  71
6 6 2  77.84  78

Structural model:
abc: 10.6975 10.6976 10.6998
angles: 90.00 90.00 90.00
Space group I2_12_12_1 (No. 24)
Asymmetric unit:
Dy (0.0000, 0.2500, 0.2173) (multiplicity 4)
Y (0.0001, 0.0000, 0.0001) (multiplicity 8)
Y (0.0000, 0.2500, 0.7174) (multiplicity 4)
Y (0.2172, 0.5000, 0.2500) (multiplicity 4)
Y (0.2175, 0.0000, 0.7500) (multiplicity 4)
Y (0.2500, 0.2175, 0.0000) (multiplicity 4)
Y (0.2500, 0.2827, 0.5000) (multiplicity 4)
O (0.0984, 0.1410, 0.8702) (multiplicity 8)
O (0.0981, 0.3588, 0.3700) (multiplicity 8)
O (0.1295, 0.0988, 0.1412) (multiplicity 8)
O (0.1298, 0.4017, 0.6409) (multiplicity 8)
O (0.1411, 0.1298, 0.5983) (multiplicity 8)
O (0.1408, 0.3701, 0.0985) (multiplicity 8)